Diffraction record for Co2Ge2As3P. The XRD peak list is calculated, not measured: it uses a DFT-relaxed cell (GGA-PBE, OQMD) and Cu Kα.

Structure:
```
Co2Ge2As3P
1.0
12.1621 0.0000 0.0000
0.0000 5.5188 0.0000
-2.2930 0.0000 4.7797
Co Ge As P
4 4 6 2
Direct
0.1164 0.0000 0.3502
0.3836 0.5000 0.6498
0.6164 0.5000 0.3502
0.8836 0.0000 0.6498
0.1244 0.4836 0.8812
0.3756 0.9836 0.1188
0.6244 0.9836 0.8812
0.8756 0.4836 0.1188
0.0000 0.7754 0.5000
0.2492 0.2380 0.6966
0.2508 0.7380 0.3034
0.5000 0.2754 0.5000
0.7492 0.7380 0.6966
0.7508 0.2380 0.3034
0.0000 0.2144 0.0000
0.5000 0.7144 0.0000
```

Principal peaks in the range 10° ≤ 2θ ≤ 80°, by angle:
2θ 28.46, I 100, (1 1 1); 2θ 46.71, I 25, (4 2 0); 2θ 47.59, I 31, (2 0 2); 2θ 47.82, I 11, (6 0 -2); 2θ 55.47, I 14, (3 3 -1); 2θ 55.81, I 7, (7 1 -1)